No. 1
This entry pairs a crystal structure of InCoCu with its computed XRD peak list. Radiation: Cu Ka. Structure: a structure optimized by DFT (PBE).

Cell lengths 5.0081, 5.0081, 5.0081 Å; angles 143.75, 143.75, 52.20 degrees
Fractional positions:
In (0.0000, 0.0000, 0.0000)
Co (0.3228, 0.3228, 0.0000)
Cu (0.6855, 0.6855, 0.0000)

Most intense lines, 2θ from 10° to 80°, low angle first:
d (Å)  2θ (°)  intensity
2.944  30.36  16
2.249  40.10  5
2.203  40.96  55
2.160  41.81  100
1.574  58.66  6
1.558  59.32  18
1.499  61.89  6
1.377  68.09  3
1.264  75.19  32
1.239  76.92  13



No. 2
This entry pairs a crystal structure of Co6CuIr with its computed XRD peak list. Radiation: Cu Ka. Structure: a structure optimized by DFT (PBE).

Cell lengths 6.2261, 6.2261, 10.1805 Å; angles 90.00, 90.00, 109.65 degrees
Fractional positions:
Co (0.0000, 0.0000, 0.0000)
Co (0.0000, 0.0000, 0.5000)
Co (0.1199, 0.3733, 0.1228)
Co (0.1199, 0.3733, 0.8772)
Co (0.1242, 0.3719, 0.3734)
Co (0.1242, 0.3719, 0.6266)
Co (0.2483, 0.7517, 0.2470)
Co (0.2483, 0.7517, 0.7530)
Co (0.3719, 0.1242, 0.3734)
Co (0.3719, 0.1242, 0.6266)
Co (0.3733, 0.1199, 0.1228)
Co (0.3733, 0.1199, 0.8772)
Co (0.5000, 0.5000, 0.0000)
Co (0.5000, 0.5000, 0.5000)
Co (0.6267, 0.8801, 0.1228)
Co (0.6267, 0.8801, 0.8772)
Co (0.6281, 0.8758, 0.3734)
Co (0.6281, 0.8758, 0.6266)
Co (0.7517, 0.2483, 0.2470)
Co (0.7517, 0.2483, 0.7530)
Co (0.8758, 0.6281, 0.3734)
Co (0.8758, 0.6281, 0.6266)
Co (0.8801, 0.6267, 0.1228)
Co (0.8801, 0.6267, 0.8772)
Cu (0.0000, 0.0000, 0.2475)
Cu (0.0000, 0.0000, 0.7525)
Cu (0.2515, 0.7485, 0.0000)
Cu (0.7485, 0.2515, 0.0000)
Ir (0.2504, 0.7496, 0.5000)
Ir (0.5000, 0.5000, 0.2466)
Ir (0.5000, 0.5000, 0.7534)
Ir (0.7496, 0.2504, 0.5000)

Most intense lines, 2θ from 10° to 80°, low angle first:
d (Å)  2θ (°)  intensity
5.864  15.11  6
3.844  23.14  4
3.595  24.77  15
2.542  35.31  12
2.076  43.61  100
1.799  50.73  31
1.793  50.92  16
1.609  57.26  4
1.272  74.58  9
1.270  74.73  19



No. 3
This entry pairs a crystal structure of Co2CuIr with its computed XRD peak list. Radiation: Cu Ka. Structure: a structure optimized by DFT (PBE).

Cell lengths 4.5055, 4.5055, 4.4239 Å; angles 100.30, 100.30, 34.04 degrees
Fractional positions:
Co (0.2474, 0.2474, 0.2477)
Co (0.7526, 0.7526, 0.7523)
Cu (0.0000, 0.0000, 0.5000)
Ir (0.5000, 0.5000, 0.0000)

Most intense lines, 2θ from 10° to 80°, low angle first:
d (Å)  2θ (°)  intensity
4.346  20.44  32
4.232  20.99  36
3.362  26.51  18
2.128  42.48  100
2.116  42.73  49
2.099  43.09  48
1.851  49.22  64
1.801  50.69  29
1.295  73.08  19
1.287  73.59  21



No. 4
This entry pairs a crystal structure of KCo2Cu with its computed XRD peak list. Radiation: Cu Ka. Structure: a structure optimized by DFT (PBE).

Cell lengths 4.1304, 4.1304, 6.3014 Å; angles 107.74, 107.74, 59.32 degrees
Fractional positions:
K (0.0000, 0.0000, 0.0000)
Co (0.1771, 0.1771, 0.5307)
Co (0.8229, 0.8229, 0.4693)
Cu (0.5000, 0.5000, 0.5000)

Most intense lines, 2θ from 10° to 80°, low angle first:
d (Å)  2θ (°)  intensity
5.901  15.01  100
2.951  30.29  42
2.791  32.07  8
2.064  43.86  31
2.044  44.32  15
1.966  46.18  16
1.932  47.04  21
1.713  53.49  15
1.680  54.62  15
1.671  54.96  14



No. 5
This entry pairs a crystal structure of La8Co2Cu with its computed XRD peak list. Radiation: Cu Ka. Structure: a structure optimized by DFT (PBE).

Cell lengths 7.9160, 7.9160, 6.5286 Å; angles 100.53, 100.53, 120.71 degrees
Fractional positions:
La (0.0000, 0.0000, 0.0000)
La (0.1567, 0.5692, 0.1883)
La (0.2392, 0.9641, 0.5711)
La (0.4332, 0.7116, 0.8049)
La (0.5692, 0.1567, 0.1883)
La (0.6826, 0.6826, 0.3915)
La (0.7116, 0.4332, 0.8049)
La (0.9641, 0.2392, 0.5711)
Co (0.0190, 0.6470, 0.6930)
Co (0.6470, 0.0190, 0.6930)
Cu (0.3442, 0.3442, 0.9577)

Most intense lines, 2θ from 10° to 80°, low angle first:
d (Å)  2θ (°)  intensity
3.327  26.80  37
3.172  28.13  50
3.011  29.67  100
2.992  29.86  50
2.775  32.25  40
2.710  33.06  34
2.563  35.01  26
2.500  35.93  27
2.489  36.08  39
2.334  38.57  23



No. 6
This entry pairs a crystal structure of La3Co2Cu with its computed XRD peak list. Radiation: Cu Ka. Structure: a structure optimized by DFT (PBE).

Cell lengths 5.9686, 11.6705, 8.5546 Å; angles 90.00, 109.83, 90.00 degrees
Fractional positions:
La (0.1936, 0.2314, 0.3418)
La (0.1936, 0.2686, 0.8418)
La (0.2146, 0.5872, 0.9795)
La (0.2146, 0.9128, 0.4795)
La (0.2945, 0.5448, 0.5913)
La (0.2945, 0.9552, 0.0913)
La (0.7055, 0.0448, 0.9087)
La (0.7055, 0.4552, 0.4087)
La (0.7854, 0.0872, 0.5205)
La (0.7854, 0.4128, 0.0205)
La (0.8064, 0.7314, 0.1582)
La (0.8064, 0.7686, 0.6582)
Co (0.1492, 0.5043, 0.2823)
Co (0.1492, 0.9957, 0.7823)
Co (0.3655, 0.1375, 0.6506)
Co (0.3655, 0.3625, 0.1506)
Co (0.6345, 0.6375, 0.8494)
Co (0.6345, 0.8625, 0.3494)
Co (0.8508, 0.0043, 0.2177)
Co (0.8508, 0.4957, 0.7177)
Cu (0.3746, 0.6969, 0.3159)
Cu (0.3746, 0.8031, 0.8159)
Cu (0.6254, 0.1969, 0.1841)
Cu (0.6254, 0.3031, 0.6841)

Most intense lines, 2θ from 10° to 80°, low angle first:
d (Å)  2θ (°)  intensity
3.282  27.17  29
3.198  27.90  100
2.807  31.88  52
2.790  32.09  37
2.779  32.22  34
2.764  32.39  31
2.743  32.65  40
2.557  35.09  35
2.367  38.02  55
2.020  44.88  42



No. 7
This entry pairs a crystal structure of LaCoCu12 with its computed XRD peak list. Radiation: Cu Ka. Structure: a structure optimized by DFT (PBE).

Cell lengths 8.1753, 8.1753, 8.1753 Å; angles 60.00, 60.00, 60.00 degrees
Fractional positions:
La (0.2500, 0.2500, 0.2500)
La (0.7500, 0.7500, 0.7500)
Co (0.0000, 0.0000, 0.0000)
Co (0.5000, 0.5000, 0.5000)
Cu (0.0626, 0.2958, 0.7042)
Cu (0.0626, 0.7042, 0.9374)
Cu (0.0626, 0.9374, 0.2958)
Cu (0.2042, 0.4374, 0.7958)
Cu (0.2042, 0.5626, 0.4374)
Cu (0.2042, 0.7958, 0.5626)
Cu (0.2958, 0.0626, 0.9374)
Cu (0.2958, 0.7042, 0.0626)
Cu (0.2958, 0.9374, 0.7042)
Cu (0.4374, 0.2042, 0.5626)
Cu (0.4374, 0.5626, 0.7958)
Cu (0.4374, 0.7958, 0.2042)
Cu (0.5626, 0.2042, 0.7958)
Cu (0.5626, 0.4374, 0.2042)
Cu (0.5626, 0.7958, 0.4374)
Cu (0.7042, 0.0626, 0.2958)
Cu (0.7042, 0.2958, 0.9374)
Cu (0.7042, 0.9374, 0.0626)
Cu (0.7958, 0.2042, 0.4374)
Cu (0.7958, 0.4374, 0.5626)
Cu (0.7958, 0.5626, 0.2042)
Cu (0.9374, 0.0626, 0.7042)
Cu (0.9374, 0.2958, 0.0626)
Cu (0.9374, 0.7042, 0.2958)

Most intense lines, 2θ from 10° to 80°, low angle first:
d (Å)  2θ (°)  intensity
2.585  34.70  43
2.360  38.13  74
1.954  46.47  100
1.927  47.17  18
1.828  49.89  17
1.669  55.03  9
1.603  57.48  13
1.545  59.87  14
1.402  66.71  13
1.269  74.81  12



No. 8
This entry pairs a crystal structure of LaNdCoCu with its computed XRD peak list. Radiation: Cu Ka. Structure: a structure optimized by DFT (PBE).

Cell lengths 4.3031, 5.7878, 5.7878 Å; angles 39.76, 90.00, 90.00 degrees
Fractional positions:
La (0.0000, 0.0000, 0.0000)
Nd (0.5000, 0.7255, 0.7255)
Co (0.5000, 0.4333, 0.4333)
Cu (0.0000, 0.2956, 0.2956)

Most intense lines, 2θ from 10° to 80°, low angle first:
d (Å)  2θ (°)  intensity
3.376  26.40  35
2.806  31.89  100
2.721  32.91  26
2.668  33.59  45
2.300  39.17  18
2.267  39.75  57
2.152  41.99  27
1.968  46.13  21
1.675  54.81  22
1.200  79.92  15



No. 9
This entry pairs a crystal structure of LaPrCoCu with its computed XRD peak list. Radiation: Cu Ka. Structure: a structure optimized by DFT (PBE).

Cell lengths 4.3073, 5.8173, 5.8173 Å; angles 39.75, 90.00, 90.00 degrees
Fractional positions:
La (0.0000, 0.0000, 0.0000)
Pr (0.5000, 0.2748, 0.2748)
Co (0.5000, 0.5661, 0.5661)
Cu (0.0000, 0.7029, 0.7029)

Most intense lines, 2θ from 10° to 80°, low angle first:
d (Å)  2θ (°)  intensity
3.384  26.33  35
2.815  31.78  100
2.735  32.74  26
2.681  33.42  46
2.309  39.01  19
2.276  39.59  57
2.154  41.95  27
1.978  45.88  21
1.679  54.66  37
1.205  79.56  15



No. 10
This entry pairs a crystal structure of LiMnCoCu with its computed XRD peak list. Radiation: Cu Ka. Structure: a structure optimized by DFT (PBE).

Cell lengths 4.0622, 4.0622, 4.0622 Å; angles 60.00, 60.00, 60.00 degrees
Fractional positions:
Li (0.0000, 0.0000, 0.0000)
Mn (0.5000, 0.5000, 0.5000)
Co (0.2500, 0.2500, 0.2500)
Cu (0.7500, 0.7500, 0.7500)

Most intense lines, 2θ from 10° to 80°, low angle first:
d (Å)  2θ (°)  intensity
3.317  26.88  20
2.872  31.14  19
2.031  44.61  100
1.732  52.86  8
1.658  55.40  5
1.436  64.93  15
1.318  71.60  3
1.285  73.76  5



What is the formula in the tenth record? LiMnCoCu